# 1
Calculated PXRD pattern
Compound: Tm2GaGe
Radiation: Cu Kα (weighted mean of Kα1 and Kα2)
Structure: a DFT-relaxed cell (PBE, OQMD)

Top 10 peaks for 2θ = 10–90°, in order of falling intensity:
| 2θ (°) | Rel. int. | h k l |
| --- | --- | --- |
| 32.04 | 100 | 0 1 2 |
| 40.24 | 48 | 2 1 0 |
| 32.89 | 38 | 2 0 0 |
| 33.78 | 29 | 2 0 -2 |
| 28.19 | 26 | 1 1 -1 |
| 42.38 | 25 | 1 0 3 |
| 46.02 | 20 | 0 2 0 |
| 57.72 | 15 | 2 2 0 |
| 41.00 | 15 | 2 1 -2 |
| 64.34 | 14 | 1 2 3 |

Structural model:
```
8
Lattice="5.720 0.000 0.000 0.000 3.944 0.000 -2.535 0.000 7.915" Properties=species:S:1:pos:R:3 pbc="T T T"
Tm 0.095 0.986 3.385
Tm 1.479 2.958 0.542
Tm 1.706 0.986 7.373
Tm 3.090 2.958 4.530
Ga 0.335 2.958 5.608
Ga 2.850 0.986 2.307
Ge -1.260 0.986 6.266
Ge 4.446 2.958 1.649
```



# 2
Calculated PXRD pattern
Compound: Hf3Sc3FeBi2
Radiation: Cu Kα (weighted mean of Kα1 and Kα2)
Structure: a DFT-relaxed cell (PBE, OQMD)

Top 10 peaks for 2θ = 10–90°, in order of falling intensity:
| 2θ (°) | Rel. int. | h k l |
| --- | --- | --- |
| 33.20 | 100 | 1 1 1 |
| 40.12 | 44 | 3 0 0 |
| 22.85 | 33 | 1 1 0 |
| 35.84 | 32 | 2 0 1 |
| 64.82 | 22 | 3 0 2 |
| 48.66 | 21 | 0 0 2 |
| 68.52 | 19 | 4 1 1 |
| 13.13 | 19 | 1 0 0 |
| 42.93 | 18 | 2 1 1 |
| 53.03 | 17 | 2 2 1 |

Structural model:
```
9
Lattice="7.785 0.000 0.000 -3.893 6.742 0.000 0.000 0.000 3.744" Properties=species:S:1:pos:R:3 pbc="T T T"
Hf -2.438 4.222 0.000
Hf 1.455 2.520 0.000
Hf 4.875 0.000 0.000
Sc -0.917 1.588 1.872
Sc 1.834 0.000 1.872
Sc 2.976 5.154 1.872
Fe 0.000 0.000 0.000
Bi 0.000 4.495 1.872
Bi 3.893 2.247 1.872
```



Copy entry 1 word for word.
Calculated PXRD pattern
Compound: Tm2GaGe
Radiation: Cu Kα (weighted mean of Kα1 and Kα2)
Structure: a DFT-relaxed cell (PBE, OQMD)

Top 10 peaks for 2θ = 10–90°, in order of falling intensity:
| 2θ (°) | Rel. int. | h k l |
| --- | --- | --- |
| 32.04 | 100 | 0 1 2 |
| 40.24 | 48 | 2 1 0 |
| 32.89 | 38 | 2 0 0 |
| 33.78 | 29 | 2 0 -2 |
| 28.19 | 26 | 1 1 -1 |
| 42.38 | 25 | 1 0 3 |
| 46.02 | 20 | 0 2 0 |
| 57.72 | 15 | 2 2 0 |
| 41.00 | 15 | 2 1 -2 |
| 64.34 | 14 | 1 2 3 |

Structural model:
```
8
Lattice="5.720 0.000 0.000 0.000 3.944 0.000 -2.535 0.000 7.915" Properties=species:S:1:pos:R:3 pbc="T T T"
Tm 0.095 0.986 3.385
Tm 1.479 2.958 0.542
Tm 1.706 0.986 7.373
Tm 3.090 2.958 4.530
Ga 0.335 2.958 5.608
Ga 2.850 0.986 2.307
Ge -1.260 0.986 6.266
Ge 4.446 2.958 1.649
```